[1]
# TbPmYEr2
Computed PXRD pattern, copper Kα. Input: a GGA-PBE-relaxed structure.
Intensities are scaled so that the largest is 100.

Principal peaks in the range 2θ = 5–70°, most intense first:
two_theta	I (rel.)
32.94	100
31.24	62
46.04	62
36.02	62
29.40	59
40.11	50
26.43	46
15.47	46
33.14	41
28.19	40

Atomic structure:
```
TbPmYEr2
1.0
4.172 -5.726 0.000
4.172 5.726 0.000
0.000 0.000 7.169
Tb Pm Y Er
2 2 2 4
Direct
0.217 0.783 0.750
0.783 0.217 0.250
0.486 0.514 0.750
0.514 0.486 0.250
0.230 0.770 0.250
0.770 0.230 0.750
0.187 0.187 0.000
0.187 0.187 0.500
0.813 0.813 0.000
0.813 0.813 0.500
```

[2]
# Ca8SnBi5
Computed PXRD pattern, copper Kα. Input: a GGA-PBE-relaxed structure.
Intensities are scaled so that the largest is 100.

Principal peaks in the range 2θ = 5–70°, most intense first:
two_theta	I (rel.)
22.48	100
29.07	65
34.59	38
41.60	29
29.28	28
43.82	28
34.73	23
58.59	20
47.74	15
41.85	14

Atomic structure:
```
Ca8SnBi5
1.0
-4.859 4.859 4.818
4.859 -4.859 4.818
4.859 4.859 -4.818
Ca Sn Bi
8 1 5
Direct
0.123 0.719 0.746
0.126 0.231 0.746
0.281 0.027 0.403
0.484 0.380 0.254
0.620 0.874 0.105
0.623 0.877 0.597
0.769 0.516 0.895
0.973 0.377 0.254
0.000 0.000 0.000
0.240 0.621 0.122
0.379 0.501 0.619
0.499 0.118 0.878
0.750 0.250 0.500
0.882 0.760 0.381
```

[3]
# U2Al3Ga3
Computed PXRD pattern, copper Kα. Input: a GGA-PBE-relaxed structure.
Intensities are scaled so that the largest is 100.

Principal peaks in the range 2θ = 5–70°, most intense first:
two_theta	I (rel.)
36.53	100
29.72	48
20.71	35
20.82	22
42.14	17
42.38	17
42.77	16
47.99	13
52.43	13
21.01	11

Atomic structure:
```
U2Al3Ga3
1.0
4.229 0.000 0.000
0.000 4.266 0.000
0.000 0.000 8.577
U Al Ga
2 3 3
Direct
0.000 0.000 0.249
0.000 0.000 0.751
0.000 0.500 0.000
0.000 0.500 0.500
0.500 0.000 0.500
0.500 0.000 0.000
0.500 0.500 0.257
0.500 0.500 0.743
```